This entry pairs a crystal structure of RbGeAs3 with its theoretical X-ray diffraction stick pattern. Radiation: Cu Ka. Structure: DFT lattice parameters and positions (PBE).
Intensities are scaled so that the largest is 100.

Atomic structure:
```
RbGeAs3
1.0
6.9693 0.0000 0.0000
0.0000 5.4888 0.0000
-0.9555 0.0000 8.8685
Rb Ge As
2 2 6
Cartesian
1.3016 0.0000 3.6204
4.7122 2.7444 5.2480
1.5071 2.7296 0.1293
4.5067 5.4740 8.7392
-0.4478 0.8826 7.5610
0.9069 4.3784 7.0779
2.9168 2.6264 2.1049
3.0970 5.3708 6.7635
5.1068 1.6340 1.7906
6.4616 3.6270 1.3075
```

Principal peaks in the range 10° ≤ 2θ ≤ 90°, low angle first:
19.02°, d 4.667, rel. 41; 22.36°, d 3.976, rel. 100; 23.58°, d 3.774, rel. 33; 24.97°, d 3.566, rel. 44; 25.83°, d 3.449, rel. 54; 31.27°, d 2.860, rel. 31; 34.46°, d 2.602, rel. 27; 35.16°, d 2.553, rel. 41; 47.31°, d 1.922, rel. 28; 52.47°, d 1.744, rel. 30



This entry pairs a crystal structure of PaTiReSi2 with its theoretical X-ray diffraction stick pattern. Radiation: Cu Ka. Structure: DFT lattice parameters and positions (PBE).
Intensities are scaled so that the largest is 100.

Atomic structure:
```
PaTiReSi2
1.0
3.9691 0.0000 0.0000
0.0000 3.9691 0.0000
0.0000 0.0000 10.9933
Pa Ti Re Si
2 2 2 4
Cartesian
0.0000 0.0000 0.0000
1.9845 1.9845 5.4967
0.0000 1.9845 2.7483
1.9845 0.0000 8.2450
0.0000 1.9845 8.2450
1.9845 0.0000 2.7483
0.0000 0.0000 4.3174
0.0000 0.0000 6.6759
1.9845 1.9845 1.1793
1.9845 1.9845 9.8140
```

Principal peaks in the range 10° ≤ 2θ ≤ 90°, low angle first:
23.84°, d 3.733, rel. 64; 32.58°, d 2.748, rel. 24; 33.28°, d 2.692, rel. 45; 35.93°, d 2.500, rel. 100; 45.72°, d 1.985, rel. 30; 47.26°, d 1.923, rel. 21; 57.26°, d 1.609, rel. 20; 57.71°, d 1.597, rel. 20; 60.33°, d 1.534, rel. 18; 78.10°, d 1.224, rel. 21



This entry pairs a crystal structure of LiEr4Se4 with its theoretical X-ray diffraction stick pattern. Radiation: Cu Ka. Structure: DFT lattice parameters and positions (PBE).
Intensities are scaled so that the largest is 100.

Atomic structure:
```
LiEr4Se4
1.0
6.2244 -2.8229 0.0000
6.2244 2.8229 0.0000
-6.2174 0.0000 6.2328
Li Er Se
1 4 4
Cartesian
0.0000 0.0000 0.0000
-1.2267 0.0000 3.7941
3.8014 0.0000 1.2338
2.4300 0.0000 4.9989
7.4581 0.0000 2.4386
-3.8330 0.0000 5.0012
1.2382 0.0000 2.3860
4.9932 0.0000 3.8468
10.0644 0.0000 1.2316
```

Principal peaks in the range 10° ≤ 2θ ≤ 90°, low angle first:
14.22°, d 6.229, rel. 30; 20.16°, d 4.404, rel. 17; 27.61°, d 3.231, rel. 35; 31.70°, d 2.823, rel. 47; 32.13°, d 2.786, rel. 100; 45.76°, d 1.983, rel. 75; 46.08°, d 1.970, rel. 34; 57.01°, d 1.615, rel. 36; 75.51°, d 1.259, rel. 17; 85.11°, d 1.140, rel. 16



Repeat the second record exactly.
This entry pairs a crystal structure of PaTiReSi2 with its theoretical X-ray diffraction stick pattern. Radiation: Cu Ka. Structure: DFT lattice parameters and positions (PBE).
Intensities are scaled so that the largest is 100.

Atomic structure:
```
PaTiReSi2
1.0
3.9691 0.0000 0.0000
0.0000 3.9691 0.0000
0.0000 0.0000 10.9933
Pa Ti Re Si
2 2 2 4
Cartesian
0.0000 0.0000 0.0000
1.9845 1.9845 5.4967
0.0000 1.9845 2.7483
1.9845 0.0000 8.2450
0.0000 1.9845 8.2450
1.9845 0.0000 2.7483
0.0000 0.0000 4.3174
0.0000 0.0000 6.6759
1.9845 1.9845 1.1793
1.9845 1.9845 9.8140
```

Principal peaks in the range 10° ≤ 2θ ≤ 90°, low angle first:
23.84°, d 3.733, rel. 64; 32.58°, d 2.748, rel. 24; 33.28°, d 2.692, rel. 45; 35.93°, d 2.500, rel. 100; 45.72°, d 1.985, rel. 30; 47.26°, d 1.923, rel. 21; 57.26°, d 1.609, rel. 20; 57.71°, d 1.597, rel. 20; 60.33°, d 1.534, rel. 18; 78.10°, d 1.224, rel. 21